MgSc2Nb2O8: computed powder X-ray diffraction pattern (copper Kα), based on a crystal structure in the Materials Project, relaxed with GGA-PBE.
No peak broadening, texture or thermal motion is included.

Structural model:
Cell: 5.1160 5.9258 5.1764 Å, 90.00 92.45 90.00°
Fractional positions:
Mg1 0.0000 0.0000 0.0000
Sc1 0.0000 0.4708 0.0000
Sc2 0.0000 0.7419 0.5000
Nb1 0.5000 0.2550 0.5000
Nb2 0.5000 0.9653 0.0000
O1 0.2169 0.7464 0.8486
O2 0.2367 0.4691 0.3461
O3 0.2560 0.2207 0.8429
O4 0.2618 0.9777 0.3243
O5 0.7382 0.9777 0.6757
O6 0.7440 0.2207 0.1571
O7 0.7633 0.4691 0.6539
O8 0.7831 0.7464 0.1514

Peak list (12 most intense, 2θ from 15° to 90°, in order of rising 2θ)
- 22.8°, 3.896 Å, I 43, (0 1 1)
- 23.0°, 3.870 Å, I 100, (1 1 0)
- 28.4°, 3.148 Å, I 82, (1 1 -1)
- 29.3°, 3.052 Å, I 73, (1 1 1)
- 34.7°, 2.586 Å, I 38, (0 0 2)
- 34.9°, 2.571 Å, I 61, (0 2 1)
- 39.6°, 2.277 Å, I 28, (1 2 1)
- 49.0°, 1.858 Å, I 26, (2 0 -2)
- 49.5°, 1.843 Å, I 27, (1 3 0)
- 49.8°, 1.832 Å, I 56, (2 2 -1)
- 50.9°, 1.794 Å, I 47, (2 2 1)
- 62.3°, 1.490 Å, I 45, (0 2 3)